Theoretical PXRD pattern of NaGaPt for Cu Kα X-rays, from a structure optimized by DFT (GGA-PBE).
Intensities are scaled so that the largest is 1000.

Peak list (10 most intense, 10 to 90 degrees two-theta, by angle)
2θ 20.6, intensity 1000
2θ 24.9, intensity 137
2θ 38.3, intensity 595
2θ 40.8, intensity 413
2θ 41.4, intensity 248
2θ 42.0, intensity 367
2θ 46.7, intensity 228
2θ 53.2, intensity 162
2θ 62.8, intensity 141
2θ 71.7, intensity 179

Atomic structure:
abc: 5.386 5.616 7.158
angles: 90.00 90.00 90.00
Space group Imma (No. 74)
Asymmetric unit:
Na 0.000 0.250 0.134 (multiplicity 4)
Ga 0.250 0.250 0.750 (multiplicity 4)
Pt 0.000 0.000 0.500 (multiplicity 4)